1.
Structure and simulated X-ray diffraction stick pattern of Pm3PrGe4 (a crystal structure in Alexandria, relaxed with PBE; CuKα).

Largest 12 diffraction maxima, in order of falling intensity, 10° ≤ 2θ ≤ 90°:
2θ 28.0, intensity 100, (1 1 2)
2θ 35.0, intensity 32, (0 2 4)
2θ 38.9, intensity 26, (1 2 3)
2θ 33.9, intensity 24, (1 1 4)
2θ 35.2, intensity 21, (1 0 5)
2θ 44.4, intensity 20, (2 0 0)
2θ 66.6, intensity 20, (1 3 8)
2θ 48.4, intensity 19, (1 3 2)
2θ 30.5, intensity 17, (0 1 5)
2θ 57.8, intensity 15, (2 2 4)
2θ 32.9, intensity 14, (0 0 6)
2θ 27.1, intensity 13, (0 2 0)

```
data_Pm3PrGe4
_chemical_formula_sum 'Pm6 Pr2 Ge8'
_cell_length_a 4.078
_cell_length_b 6.579
_cell_length_c 16.356
_cell_angle_alpha 90.00
_cell_angle_beta 90.00
_cell_angle_gamma 90.00
_symmetry_space_group_name_H-M 'I m m m'
_symmetry_Int_Tables_number 71
_symmetry_space_group_name_Hall '-I 2 2'
loop_
_atom_site_label
_atom_site_fract_x
_atom_site_fract_y
_atom_site_fract_z
Pm1 0.000 0.000 0.000
Pm2 0.000 0.500 0.197
Pr1 0.000 0.000 0.500
Ge1 0.000 0.311 0.368
```



2.
Structure and simulated X-ray diffraction stick pattern of Er3C2 (a crystal structure in Alexandria, relaxed with PBE; CuKα).

Largest 12 diffraction maxima, in order of falling intensity, 10° ≤ 2θ ≤ 90°:
2θ 33.1, intensity 100, (1 1 3)
2θ 30.8, intensity 25, (0 0 6)
2θ 56.2, intensity 22, (1 1 9)
2θ 61.4, intensity 20, (3 0 6)
2θ 51.7, intensity 19, (3 0 0)
2θ 29.1, intensity 19, (1 1 0)
2θ 42.9, intensity 19, (1 1 6)
2θ 62.7, intensity 14, (2 2 3)
2θ 85.5, intensity 11, (4 1 3)
2θ 86.8, intensity 9, (3 0 12)
2θ 79.8, intensity 7, (2 2 9)
2θ 69.3, intensity 4, (2 2 6)

```
data_Er3C2
_chemical_formula_sum 'Er18 C12'
_cell_length_a 6.1286
_cell_length_b 6.1286
_cell_length_c 17.4200
_cell_angle_alpha 90.00
_cell_angle_beta 90.00
_cell_angle_gamma 120.00
_symmetry_space_group_name_H-M 'R -3 c'
_symmetry_Int_Tables_number 167
_symmetry_space_group_name_Hall '-R 3 2"c'
loop_
_atom_site_label
_atom_site_fract_x
_atom_site_fract_y
_atom_site_fract_z
Er1 0.0000 0.3128 0.2500
C1 0.0000 0.0000 0.1559
```